This entry pairs a crystal structure of Fe3P3O13 with its simulated PXRD pattern. Radiation: Cu Ka. Structure: a PBE+U-relaxed structure.
Neutral-atom scattering factors, no anomalous dispersion.

Structure:
```
Fe3P3O13
1.0
7.6153 0.0000 0.0000
0.0000 6.3864 0.0000
-1.6454 0.0000 10.3032
Fe P O
6 6 26
Direct
0.0000 0.0000 0.0000
0.0000 0.5000 0.0000
0.2130 0.2500 0.5608
0.3616 0.7500 0.1918
0.6384 0.2500 0.8082
0.7870 0.7500 0.4392
0.2167 0.7500 0.4820
0.2568 0.2500 0.2356
0.3075 0.2500 0.8840
0.6925 0.7500 0.1160
0.7432 0.7500 0.7644
0.7833 0.2500 0.5180
0.0250 0.7500 0.4069
0.0839 0.2500 0.1306
0.1205 0.7500 0.0933
0.2052 0.0521 0.9125
0.2052 0.4479 0.9125
0.2057 0.2500 0.3724
0.2556 0.5542 0.5665
0.2556 0.9458 0.5665
0.3457 0.2500 0.7410
0.3506 0.7500 0.3846
0.3666 0.0547 0.2145
0.3666 0.4453 0.2145
0.4990 0.7500 0.0439
0.5010 0.2500 0.9561
0.6334 0.5547 0.7855
0.6334 0.9453 0.7855
0.6494 0.2500 0.6154
0.6543 0.7500 0.2590
0.7444 0.0542 0.4335
0.7444 0.4458 0.4335
0.7943 0.7500 0.6276
0.7948 0.5521 0.0875
0.7948 0.9479 0.0875
0.8795 0.2500 0.9067
0.9161 0.7500 0.8694
0.9750 0.2500 0.5931
```

Main lines, by angle (10 to 90 degrees two-theta):
d/Å	I/Imax
6.589	35
5.428	74
4.600	100
3.760	38
3.731	33
3.366	63
3.193	47
3.025	33
2.953	54
2.782	50

---

This entry pairs a crystal structure of FeP2O7 with its simulated PXRD pattern. Radiation: Cu Ka. Structure: a PBE+U-relaxed structure.
Neutral-atom scattering factors, no anomalous dispersion.

Structure:
```
FeP2O7
1.0
6.9887 0.0000 0.0000
0.0000 8.8319 0.0000
-2.8143 0.0000 9.0630
Fe P O
4 8 28
Direct
0.1823 0.0713 0.3017
0.1823 0.4287 0.8017
0.8177 0.5713 0.1983
0.8177 0.9287 0.6983
0.0238 0.7154 0.9647
0.0238 0.7846 0.4647
0.4042 0.7502 0.2357
0.4042 0.7498 0.7357
0.5958 0.2502 0.2643
0.5958 0.2498 0.7643
0.9762 0.2154 0.5353
0.9762 0.2846 0.0353
0.0028 0.6313 0.3840
0.0028 0.8687 0.8840
0.0217 0.5848 0.8596
0.0217 0.9152 0.3596
0.1311 0.2025 0.4513
0.1311 0.2975 0.9513
0.2436 0.7125 0.0807
0.2436 0.7875 0.5807
0.3690 0.5887 0.7793
0.3690 0.9113 0.2793
0.3919 0.2244 0.2889
0.3919 0.2756 0.7889
0.3932 0.6310 0.3509
0.3932 0.8690 0.8509
0.6068 0.1310 0.1491
0.6068 0.3690 0.6491
0.6081 0.7244 0.2111
0.6081 0.7756 0.7111
0.6310 0.0887 0.7207
0.6310 0.4113 0.2207
0.7564 0.2125 0.4193
0.7564 0.2875 0.9193
0.8689 0.7025 0.0487
0.8689 0.7975 0.5487
0.9783 0.0848 0.6404
0.9783 0.4152 0.1404
0.9972 0.1313 0.1160
0.9972 0.3687 0.6160
```

Main lines, by angle (10 to 90 degrees two-theta):
d/Å	I/Imax
6.674	33
6.325	35
5.155	26
4.532	38
4.414	35
4.179	83
3.970	35
3.319	56
3.119	100
2.987	54

---

This entry pairs a crystal structure of FePO4 with its simulated PXRD pattern. Radiation: Cu Ka. Structure: a PBE+U-relaxed structure.
Neutral-atom scattering factors, no anomalous dispersion.

Structure:
```
FePO4
1.0
8.7508 0.0000 0.0000
0.0000 6.5932 0.0000
0.0000 0.0000 4.7811
Fe P O
4 4 16
Direct
0.0000 0.0000 0.0000
0.0000 0.5000 0.0000
0.5000 0.0000 0.5000
0.5000 0.5000 0.5000
0.1758 0.2500 0.4716
0.3242 0.7500 0.9716
0.6758 0.2500 0.0284
0.8242 0.7500 0.5284
0.1197 0.0565 0.3262
0.1201 0.2500 0.7831
0.1197 0.4435 0.3262
0.1441 0.7500 0.9409
0.3559 0.2500 0.4409
0.3803 0.5565 0.8262
0.3799 0.7500 0.2831
0.3803 0.9435 0.8262
0.6197 0.0565 0.1738
0.6201 0.2500 0.7169
0.6197 0.4435 0.1738
0.6441 0.7500 0.5591
0.8559 0.2500 0.0591
0.8803 0.5565 0.6738
0.8799 0.7500 0.2169
0.8803 0.9435 0.6738
```

Main lines, by angle (10 to 90 degrees two-theta):
d/Å	I/Imax
4.375	37
4.196	91
3.646	45
3.540	100
2.633	84
2.592	64
2.490	71
2.306	40
1.770	43
1.471	32